Diffraction record for Tm2Al2Fe15. The PXRD pattern is theoretical, not measured: it uses a crystal structure in Alexandria, relaxed with GGA-PBE and Cu Kα.

Structural model:
Lattice parameters (Å, degrees): 8.3200 8.3200 8.3674 90.00 90.00 120.00
Fractional coordinates of all 38 atoms:
Tm1 0.0000 0.0000 0.2500
Tm2 0.0000 0.0000 0.7500
Tm3 0.3333 0.6667 0.2500
Tm4 0.6667 0.3333 0.7500
Al1 0.3333 0.6667 0.6003
Al2 0.3333 0.6667 0.8997
Al3 0.6667 0.3333 0.1003
Al4 0.6667 0.3333 0.3997
Fe1 0.0000 0.5000 0.0000
Fe2 0.0000 0.5000 0.5000
Fe3 0.0312 0.3618 0.7500
Fe4 0.0312 0.6694 0.7500
Fe5 0.1652 0.3304 0.0123
Fe6 0.1652 0.3304 0.4877
Fe7 0.1652 0.8348 0.0123
Fe8 0.1652 0.8348 0.4877
Fe9 0.3304 0.1652 0.5123
Fe10 0.3304 0.1652 0.9877
Fe11 0.3306 0.3618 0.7500
Fe12 0.3306 0.9688 0.7500
Fe13 0.3618 0.0312 0.2500
Fe14 0.3618 0.3306 0.2500
Fe15 0.5000 0.0000 0.0000
Fe16 0.5000 0.0000 0.5000
Fe17 0.5000 0.5000 0.0000
Fe18 0.5000 0.5000 0.5000
Fe19 0.6382 0.6694 0.7500
Fe20 0.6382 0.9688 0.7500
Fe21 0.6694 0.0312 0.2500
Fe22 0.6694 0.6382 0.2500
Fe23 0.6696 0.8348 0.0123
Fe24 0.6696 0.8348 0.4877
Fe25 0.8348 0.1652 0.5123
Fe26 0.8348 0.1652 0.9877
Fe27 0.8348 0.6696 0.5123
Fe28 0.8348 0.6696 0.9877
Fe29 0.9688 0.3306 0.2500
Fe30 0.9688 0.6382 0.2500

The 10 most intense peaks (10° ≤ 2θ ≤ 90°), in order of rising 2θ:
| 2θ/deg | Rel. int. |
| --- | --- |
| 30.3 | 30 |
| 34.6 | 9 |
| 37.4 | 23 |
| 40.9 | 13 |
| 43.3 | 24 |
| 43.5 | 100 |
| 63.0 | 14 |
| 71.7 | 12 |
| 79.5 | 12 |
| 79.9 | 10 |

Diffraction record for Rb4Hg. The PXRD pattern is theoretical, not measured: it uses a crystal structure in Alexandria, relaxed with GGA-PBE and Cu Kα.

Structural model:
Lattice parameters (Å, degrees): 11.0840 11.0840 11.0840 130.31 67.64 137.19
Fractional coordinates of all 10 atoms:
Rb1 0.0772 0.6859 0.7631
Rb2 0.1682 0.1471 0.3153
Rb3 0.3318 0.6471 0.9790
Rb4 0.4228 0.1859 0.6087
Rb5 0.5772 0.8141 0.3913
Rb6 0.6682 0.3529 0.0210
Rb7 0.8318 0.8529 0.6847
Rb8 0.9228 0.3141 0.2369
Hg1 0.2500 0.2500 0.0000
Hg2 0.7500 0.7500 0.0000

The 10 most intense peaks (10° ≤ 2θ ≤ 90°), in order of rising 2θ:
| 2θ/deg | Rel. int. |
| --- | --- |
| 10.6 | 100 |
| 22.6 | 45 |
| 24.2 | 68 |
| 24.5 | 38 |
| 26.0 | 36 |
| 28.1 | 61 |
| 29.2 | 38 |
| 29.4 | 33 |
| 32.3 | 36 |
| 44.2 | 31 |

Diffraction record for MnV3H4. The PXRD pattern is theoretical, not measured: it uses a crystal structure in Alexandria, relaxed with GGA-PBE and Cu Kα.

Structural model:
Lattice parameters (Å, degrees): 5.2659 5.0987 4.8312 90.00 90.00 90.00
Fractional coordinates of all 16 atoms:
Mn1 0.0000 0.1634 0.0000
Mn2 0.5000 0.8366 0.5000
V1 0.0000 0.8512 0.5010
V2 0.2420 0.6518 0.0042
V3 0.2580 0.3482 0.5042
V4 0.5000 0.1488 0.0010
V5 0.7420 0.3482 0.5042
V6 0.7580 0.6518 0.0042
H1 0.0000 0.1680 0.6516
H2 0.0000 0.8570 0.1375
H3 0.2475 0.3314 0.1422
H4 0.2525 0.6686 0.6422
H5 0.5000 0.1430 0.6375
H6 0.5000 0.8320 0.1516
H7 0.7475 0.6686 0.6422
H8 0.7525 0.3314 0.1422

The 10 most intense peaks (10° ≤ 2θ ≤ 90°), in order of rising 2θ:
| 2θ/deg | Rel. int. |
| --- | --- |
| 37.2 | 58 |
| 38.5 | 36 |
| 40.0 | 80 |
| 43.0 | 100 |
| 54.6 | 22 |
| 65.4 | 18 |
| 69.0 | 14 |
| 71.1 | 20 |
| 77.7 | 21 |
| 85.4 | 15 |

Diffraction record for Er12InPd5. The PXRD pattern is theoretical, not measured: it uses a crystal structure in Alexandria, relaxed with GGA-PBE and Cu Kα.

Structural model:
Lattice parameters (Å, degrees): 8.4295 8.4295 8.4295 112.10 110.91 105.48
Fractional coordinates of all 18 atoms:
Er1 0.0374 0.2278 0.8095
Er2 0.1811 0.2852 0.4663
Er3 0.1811 0.7148 0.8958
Er4 0.3263 0.0276 0.7013
Er5 0.3263 0.6250 0.2987
Er6 0.4183 0.2278 0.1905
Er7 0.5817 0.7722 0.8095
Er8 0.6737 0.3750 0.7013
Er9 0.6737 0.9724 0.2987
Er10 0.8189 0.2852 0.1042
Er11 0.8189 0.7148 0.5337
Er12 0.9626 0.7722 0.1905
In1 0.5000 0.5000 0.0000
Pd1 0.0000 0.0000 0.0000
Pd2 0.1336 0.6336 0.5000
Pd3 0.3475 0.0000 0.3475
Pd4 0.6525 0.0000 0.6525
Pd5 0.8664 0.3664 0.5000

The 10 most intense peaks (10° ≤ 2θ ≤ 90°), in order of rising 2θ:
| 2θ/deg | Rel. int. |
| --- | --- |
| 30.0 | 24 |
| 31.9 | 100 |
| 33.8 | 73 |
| 34.5 | 80 |
| 35.1 | 72 |
| 35.3 | 29 |
| 38.2 | 35 |
| 40.1 | 20 |
| 58.8 | 28 |
| 59.9 | 39 |

Diffraction record for Tb4Ge8Rh. The PXRD pattern is theoretical, not measured: it uses a crystal structure in Alexandria, relaxed with GGA-PBE and Cu Kα.

Structural model:
Lattice parameters (Å, degrees): 4.0378 4.1500 16.2762 90.00 90.00 90.00
Fractional coordinates of all 13 atoms:
Tb1 0.0000 0.0000 0.0000
Tb2 0.0000 0.5000 0.4893
Tb3 0.5000 0.0000 0.7899
Tb4 0.5000 0.5000 0.2856
Ge1 0.0000 0.0000 0.3328
Ge2 0.0000 0.0000 0.6233
Ge3 0.0000 0.5000 0.1405
Ge4 0.0000 0.5000 0.8549
Ge5 0.5000 0.0000 0.1454
Ge6 0.5000 0.0000 0.4367
Ge7 0.5000 0.5000 0.6221
Ge8 0.5000 0.5000 0.9549
Rh1 0.0000 0.5000 0.7056

The 10 most intense peaks (10° ≤ 2θ ≤ 90°), in order of rising 2θ:
| 2θ/deg | Rel. int. |
| --- | --- |
| 24.6 | 14 |
| 33.0 | 13 |
| 35.0 | 22 |
| 35.1 | 100 |
| 40.0 | 17 |
| 43.6 | 21 |
| 44.9 | 20 |
| 64.4 | 13 |
| 74.6 | 13 |
| 76.4 | 11 |

Diffraction record for CoMo2. The PXRD pattern is theoretical, not measured: it uses a crystal structure in Alexandria, relaxed with GGA-PBE and Cu Kα.

Structural model:
Lattice parameters (Å, degrees): 6.2516 6.2516 6.2516 155.48 155.48 34.96
Fractional coordinates of all 3 atoms:
Co1 0.0000 0.0000 0.0000
Mo1 0.3467 0.3467 0.0000
Mo2 0.6533 0.6533 0.0000

The 10 most intense peaks (10° ≤ 2θ ≤ 90°), in order of rising 2θ:
| 2θ/deg | Rel. int. |
| --- | --- |
| 30.0 | 7 |
| 34.6 | 6 |
| 40.9 | 100 |
| 45.6 | 15 |
| 48.5 | 31 |
| 68.8 | 17 |
| 71.0 | 10 |
| 81.1 | 8 |
| 85.3 | 23 |
| 88.6 | 9 |